1.
The following is a simulated powder XRD pattern of Li2SnP2O7. It was derived from a structure optimized by DFT (GGA-PBE), using Cu Kα (λ = 1.5418 Å).
Peak positions follow from Bragg's law for the DFT cell and can differ from measured ones.

Atomic structure:
```
data_Li2SnP2O7
_symmetry_space_group_name_H-M 'P 1'
_symmetry_Int_Tables_number 1
_cell_length_a 7.3299
_cell_length_b 7.3299
_cell_length_c 13.1726
_cell_angle_alpha 90.35
_cell_angle_beta 90.35
_cell_angle_gamma 120.03
loop_
_symmetry_equiv_pos_as_xyz
'x,y,z'
loop_
_atom_site_label
_atom_site_type_symbol
_atom_site_fract_x
_atom_site_fract_y
_atom_site_fract_z
Li1 Li 0.2152 0.7532 0.4946
Li2 Li 0.2187 0.7813 0.7500
Li3 Li 0.2390 0.7610 0.2500
Li4 Li 0.2468 0.7848 0.0054
Li5 Li 0.7532 0.2152 0.9946
Li6 Li 0.7610 0.2390 0.7500
Li7 Li 0.7813 0.2187 0.2500
Li8 Li 0.7848 0.2468 0.5054
Sn1 Sn 0.1573 0.1673 0.6211
Sn2 Sn 0.1673 0.1573 0.1211
Sn3 Sn 0.8327 0.8427 0.8789
Sn4 Sn 0.8427 0.8327 0.3789
P1 P 0.1545 0.3956 0.8559
P2 P 0.2072 0.4176 0.3855
P3 P 0.3956 0.1545 0.3559
P4 P 0.4176 0.2072 0.8855
P5 P 0.5824 0.7928 0.1145
P6 P 0.6044 0.8455 0.6441
P7 P 0.7928 0.5824 0.6145
P8 P 0.8455 0.6044 0.1441
O1 O 0.0064 0.7907 0.0790
O2 O 0.0522 0.2715 0.3047
O3 O 0.0901 0.3421 0.7421
O4 O 0.1137 0.3560 0.4936
O5 O 0.1845 0.6099 0.8821
O6 O 0.2093 0.9936 0.4210
O7 O 0.2715 0.0522 0.8047
O8 O 0.2992 0.6526 0.3710
O9 O 0.3421 0.0901 0.2421
O10 O 0.3474 0.7008 0.1290
O11 O 0.3560 0.1137 0.9936
O12 O 0.3816 0.4122 0.8776
O13 O 0.3901 0.8155 0.6179
O14 O 0.4122 0.3816 0.3776
O15 O 0.5878 0.6184 0.6224
O16 O 0.6099 0.1845 0.3821
O17 O 0.6184 0.5878 0.1224
O18 O 0.6440 0.8863 0.0064
O19 O 0.6526 0.2992 0.8710
O20 O 0.6579 0.9099 0.7579
O21 O 0.7008 0.3474 0.6290
O22 O 0.7285 0.9478 0.1953
O23 O 0.7907 0.0064 0.5790
O24 O 0.8155 0.3901 0.1179
O25 O 0.8863 0.6440 0.5064
O26 O 0.9099 0.6579 0.2579
O27 O 0.9478 0.7285 0.6953
O28 O 0.9936 0.2093 0.9210
```

Peak list (10 most intense, 10 to 90 degrees two-theta, sorted by position)
- d = 6.348 Å, intensity 100.0
- d = 3.664 Å, intensity 30.8
- d = 3.293 Å, intensity 42.3
- d = 3.214 Å, intensity 75.7
- d = 3.191 Å, intensity 63.3
- d = 2.923 Å, intensity 29.2
- d = 2.870 Å, intensity 18.0
- d = 2.847 Å, intensity 19.0
- d = 2.258 Å, intensity 29.4
- d = 2.250 Å, intensity 32.5



2.
The following is a simulated powder XRD pattern of Nd2MnSi2. It was derived from a structure optimized by DFT (GGA-PBE), using Cu Kα (λ = 1.5418 Å).
Peak positions follow from Bragg's law for the DFT cell and can differ from measured ones.

Atomic structure:
```
data_Nd2MnSi2
_symmetry_space_group_name_H-M 'P 1'
_symmetry_Int_Tables_number 1
_cell_length_a 2.8767
_cell_length_b 2.8767
_cell_length_c 14.0091
_cell_angle_alpha 90.00
_cell_angle_beta 90.00
_cell_angle_gamma 90.00
loop_
_symmetry_equiv_pos_as_xyz
'x,y,z'
loop_
_atom_site_label
_atom_site_type_symbol
_atom_site_fract_x
_atom_site_fract_y
_atom_site_fract_z
Nd1 Nd 0.0000 0.0000 0.1261
Nd2 Nd 0.0000 0.0000 0.8739
Mn1 Mn 0.0000 0.0000 0.5000
Si1 Si 0.0000 0.0000 0.3372
Si2 Si 0.0000 0.0000 0.6628
```

Peak list (10 most intense, 10 to 90 degrees two-theta, sorted by position)
- d = 4.670 Å, intensity 43.3
- d = 3.502 Å, intensity 36.3
- d = 2.877 Å, intensity 100.0
- d = 2.802 Å, intensity 21.9
- d = 2.449 Å, intensity 33.9
- d = 2.223 Å, intensity 42.1
- d = 2.034 Å, intensity 36.4
- d = 2.007 Å, intensity 32.9
- d = 1.759 Å, intensity 20.7
- d = 1.496 Å, intensity 17.7



3.
The following is a simulated powder XRD pattern of ZnCoCu3Se4. It was derived from a structure optimized by DFT (GGA-PBE), using Cu Kα (λ = 1.5418 Å).
Peak positions follow from Bragg's law for the DFT cell and can differ from measured ones.

Atomic structure:
```
data_ZnCoCu3Se4
_symmetry_space_group_name_H-M 'P 1'
_symmetry_Int_Tables_number 1
_cell_length_a 5.6676
_cell_length_b 5.6676
_cell_length_c 5.6676
_cell_angle_alpha 90.00
_cell_angle_beta 90.00
_cell_angle_gamma 90.00
loop_
_symmetry_equiv_pos_as_xyz
'x,y,z'
loop_
_atom_site_label
_atom_site_type_symbol
_atom_site_fract_x
_atom_site_fract_y
_atom_site_fract_z
Zn1 Zn 0.0000 0.0000 0.0000
Co1 Co 0.5000 0.5000 0.5000
Cu1 Cu 0.0000 0.5000 0.5000
Cu2 Cu 0.5000 0.0000 0.5000
Cu3 Cu 0.5000 0.5000 0.0000
Se1 Se 0.2534 0.2534 0.7466
Se2 Se 0.2534 0.7466 0.2534
Se3 Se 0.7466 0.2534 0.2534
Se4 Se 0.7466 0.7466 0.7466
```

Peak list (10 most intense, 10 to 90 degrees two-theta, sorted by position)
- d = 5.668 Å, intensity 8.2
- d = 4.008 Å, intensity 6.7
- d = 3.272 Å, intensity 93.2
- d = 2.314 Å, intensity 3.1
- d = 2.004 Å, intensity 100.0
- d = 1.709 Å, intensity 40.7
- d = 1.417 Å, intensity 15.4
- d = 1.300 Å, intensity 15.9
- d = 1.157 Å, intensity 31.2
- d = 1.091 Å, intensity 12.6



4.
The following is a simulated powder XRD pattern of TeBr6. It was derived from a structure optimized by DFT (GGA-PBE), using Cu Kα (λ = 1.5418 Å).
Peak positions follow from Bragg's law for the DFT cell and can differ from measured ones.

Atomic structure:
```
data_TeBr6
_symmetry_space_group_name_H-M 'P 1'
_symmetry_Int_Tables_number 1
_cell_length_a 7.4280
_cell_length_b 7.4280
_cell_length_c 11.0806
_cell_angle_alpha 90.00
_cell_angle_beta 90.00
_cell_angle_gamma 90.00
loop_
_symmetry_equiv_pos_as_xyz
'x,y,z'
loop_
_atom_site_label
_atom_site_type_symbol
_atom_site_fract_x
_atom_site_fract_y
_atom_site_fract_z
Te1 Te 0.0000 0.0000 0.0000
Te2 Te 0.5000 0.5000 0.5000
Br1 Br 0.0000 0.0000 0.2316
Br2 Br 0.0000 0.0000 0.7684
Br3 Br 0.2053 0.2810 0.0000
Br4 Br 0.2190 0.2947 0.5000
Br5 Br 0.2810 0.7947 0.0000
Br6 Br 0.2947 0.7810 0.5000
Br7 Br 0.5000 0.5000 0.2684
Br8 Br 0.5000 0.5000 0.7316
Br9 Br 0.7053 0.2190 0.5000
Br10 Br 0.7190 0.2053 0.0000
Br11 Br 0.7810 0.7053 0.5000
Br12 Br 0.7947 0.7190 0.0000
```

Peak list (10 most intense, 10 to 90 degrees two-theta, sorted by position)
- d = 6.170 Å, intensity 95.8
- d = 5.540 Å, intensity 66.1
- d = 5.252 Å, intensity 100.0
- d = 3.085 Å, intensity 78.6
- d = 2.770 Å, intensity 48.9
- d = 2.626 Å, intensity 69.6
- d = 2.349 Å, intensity 38.5
- d = 1.906 Å, intensity 49.7
- d = 1.792 Å, intensity 30.0
- d = 1.510 Å, intensity 26.7



5.
The following is a simulated powder XRD pattern of Cr3GaP4. It was derived from a structure optimized by DFT (GGA-PBE), using Cu Kα (λ = 1.5418 Å).
Peak positions follow from Bragg's law for the DFT cell and can differ from measured ones.

Atomic structure:
```
data_Cr3GaP4
_symmetry_space_group_name_H-M 'P 1'
_symmetry_Int_Tables_number 1
_cell_length_a 5.4411
_cell_length_b 5.4411
_cell_length_c 5.4411
_cell_angle_alpha 90.00
_cell_angle_beta 90.00
_cell_angle_gamma 90.00
loop_
_symmetry_equiv_pos_as_xyz
'x,y,z'
loop_
_atom_site_label
_atom_site_type_symbol
_atom_site_fract_x
_atom_site_fract_y
_atom_site_fract_z
Cr1 Cr 0.0000 0.0000 0.5000
Cr2 Cr 0.0000 0.5000 0.0000
Cr3 Cr 0.5000 0.0000 0.0000
Ga1 Ga 0.5000 0.5000 0.5000
P1 P 0.2460 0.2460 0.7540
P2 P 0.2460 0.7540 0.2460
P3 P 0.7540 0.2460 0.2460
P4 P 0.7540 0.7540 0.7540
```

Peak list (10 most intense, 10 to 90 degrees two-theta, sorted by position)
- d = 3.847 Å, intensity 1.2
- d = 3.141 Å, intensity 100.0
- d = 2.721 Å, intensity 9.0
- d = 1.924 Å, intensity 60.8
- d = 1.641 Å, intensity 38.6
- d = 1.571 Å, intensity 2.0
- d = 1.360 Å, intensity 9.0
- d = 1.248 Å, intensity 14.6
- d = 1.217 Å, intensity 2.1
- d = 1.111 Å, intensity 18.9



6.
The following is a simulated powder XRD pattern of OsRh2N10Cl10. It was derived from a structure optimized by DFT (GGA-PBE), using Cu Kα (λ = 1.5418 Å).
Peak positions follow from Bragg's law for the DFT cell and can differ from measured ones.

Atomic structure:
```
data_OsRh2N10Cl10
_symmetry_space_group_name_H-M 'P 1'
_symmetry_Int_Tables_number 1
_cell_length_a 6.7918
_cell_length_b 6.7918
_cell_length_c 12.9391
_cell_angle_alpha 100.63
_cell_angle_beta 100.63
_cell_angle_gamma 80.48
loop_
_symmetry_equiv_pos_as_xyz
'x,y,z'
loop_
_atom_site_label
_atom_site_type_symbol
_atom_site_fract_x
_atom_site_fract_y
_atom_site_fract_z
Os1 Os 0.0000 0.0000 0.0000
Rh1 Rh 0.3341 0.3341 0.7617
Rh2 Rh 0.6659 0.6659 0.2383
N1 N 0.1205 0.4129 0.6160
N2 N 0.1518 0.4863 0.8329
N3 N 0.4129 0.1205 0.6160
N4 N 0.4681 0.4681 0.2260
N5 N 0.4863 0.1518 0.8329
N6 N 0.5137 0.8482 0.1671
N7 N 0.5319 0.5319 0.7740
N8 N 0.5871 0.8795 0.3840
N9 N 0.8482 0.5137 0.1671
N10 N 0.8795 0.5871 0.3840
Cl1 Cl 0.0406 0.0406 0.1832
Cl2 Cl 0.2226 0.2226 0.0103
Cl3 Cl 0.2340 0.2340 0.5480
Cl4 Cl 0.2645 0.7355 0.0000
Cl5 Cl 0.4196 0.4196 0.3378
Cl6 Cl 0.5804 0.5804 0.6622
Cl7 Cl 0.7355 0.2645 0.0000
Cl8 Cl 0.7660 0.7660 0.4520
Cl9 Cl 0.7774 0.7774 0.9897
Cl10 Cl 0.9594 0.9594 0.8168
```

Peak list (10 most intense, 10 to 90 degrees two-theta, sorted by position)
- d = 5.502 Å, intensity 100.0
- d = 5.116 Å, intensity 55.1
- d = 4.964 Å, intensity 50.1
- d = 4.491 Å, intensity 15.6
- d = 4.388 Å, intensity 60.3
- d = 4.230 Å, intensity 25.7
- d = 3.215 Å, intensity 20.6
- d = 3.135 Å, intensity 36.7
- d = 2.555 Å, intensity 22.5
- d = 2.012 Å, intensity 17.7